[1]
The following is a theoretical PXRD pattern of Dy6TmCd2. It was derived from a DFT-relaxed cell (PBE, Alexandria), using Cu Kα (λ = 1.5418 Å).

Peak list (12 most intense, 15° ≤ 2θ ≤ 90°, in order of rising 2θ)
2θ/deg  I/Imax
31.90  26
32.23  24
33.03  100
45.84  7
46.12  8
48.80  9
57.47  8
57.65  8
57.87  7
58.07  7
59.50  10
59.69  8

Atomic structure:
```
data_Dy6TmCd2
_cell_length_a 6.5469
_cell_length_b 6.5469
_cell_length_c 11.8100
_cell_angle_alpha 108.04
_cell_angle_beta 108.04
_cell_angle_gamma 33.12
_space_group_name_H-M_alt 'P 1'
_space_group_IT_number 1
loop_
_space_group_symop_operation_xyz
'x,y,z'
loop_
_atom_site_label
_atom_site_fract_x
_atom_site_fract_y
_atom_site_fract_z
Dy1 0.0158 0.0158 0.3379
Dy2 0.3127 0.3127 0.4156
Dy3 0.3151 0.3151 0.1225
Dy4 0.6849 0.6849 0.8775
Dy5 0.6873 0.6873 0.5844
Dy6 0.9842 0.9842 0.6621
Tm1 0.0000 0.0000 0.0000
Cd1 0.3547 0.3547 0.7948
Cd2 0.6453 0.6453 0.2052
```

---

[2]
The following is a theoretical PXRD pattern of Th4AlRh12. It was derived from a DFT-relaxed cell (PBE, Alexandria), using Cu Kα (λ = 1.5418 Å).

Peak list (12 most intense, 15° ≤ 2θ ≤ 90°, in order of rising 2θ)
2θ/deg  I/Imax
21.04  12
29.93  17
36.88  100
42.84  51
48.20  8
53.14  6
62.20  32
66.44  5
70.55  5
74.56  34
78.49  10
86.20  5

Atomic structure:
```
data_Th4AlRh12
_cell_length_a 7.3117
_cell_length_b 7.3117
_cell_length_c 7.3117
_cell_angle_alpha 109.47
_cell_angle_beta 109.47
_cell_angle_gamma 109.47
_space_group_name_H-M_alt 'P 1'
_space_group_IT_number 1
loop_
_space_group_symop_operation_xyz
'x,y,z'
loop_
_atom_site_label
_atom_site_fract_x
_atom_site_fract_y
_atom_site_fract_z
Th1 0.0000 0.0000 0.5000
Th2 0.0000 0.5000 0.0000
Th3 0.5000 0.0000 0.0000
Th4 0.5000 0.5000 0.5000
Al1 0.0000 0.0000 0.0000
Rh1 0.0000 0.2837 0.2837
Rh2 0.0000 0.7163 0.7163
Rh3 0.2500 0.5000 0.7500
Rh4 0.2500 0.7500 0.5000
Rh5 0.2837 0.0000 0.2837
Rh6 0.2837 0.2837 0.0000
Rh7 0.5000 0.2500 0.7500
Rh8 0.5000 0.7500 0.2500
Rh9 0.7163 0.0000 0.7163
Rh10 0.7163 0.7163 0.0000
Rh11 0.7500 0.2500 0.5000
Rh12 0.7500 0.5000 0.2500
```

---

[3]
The following is a theoretical PXRD pattern of Sr2Br3Cl. It was derived from a DFT-relaxed cell (PBE, Alexandria), using Cu Kα (λ = 1.5418 Å).

Peak list (12 most intense, 15° ≤ 2θ ≤ 90°, in order of rising 2θ)
2θ/deg  I/Imax
17.40  44
18.05  86
22.93  23
25.98  75
26.43  79
27.78  32
33.95  97
34.66  52
35.21  31
36.57  32
38.84  43
43.03  100

Atomic structure:
```
data_Sr2Br3Cl
_cell_length_a 8.4638
_cell_length_b 8.4638
_cell_length_c 8.4638
_cell_angle_alpha 113.55
_cell_angle_beta 105.95
_cell_angle_gamma 109.01
_space_group_name_H-M_alt 'P 1'
_space_group_IT_number 1
loop_
_space_group_symop_operation_xyz
'x,y,z'
loop_
_atom_site_label
_atom_site_fract_x
_atom_site_fract_y
_atom_site_fract_z
Sr1 0.0000 0.0000 0.5000
Sr2 0.0000 0.5000 0.0000
Sr3 0.4827 0.2327 0.2500
Sr4 0.5173 0.7673 0.7500
Br1 0.2034 0.4534 0.7500
Br2 0.3030 0.0000 0.8030
Br3 0.3030 0.5000 0.3030
Br4 0.6970 0.0000 0.1970
Br5 0.6970 0.5000 0.6970
Br6 0.7966 0.5466 0.2500
Cl1 0.1855 0.9355 0.2500
Cl2 0.8145 0.0645 0.7500
```

---

[4]
The following is a theoretical PXRD pattern of AcY8. It was derived from a DFT-relaxed cell (PBE, Alexandria), using Cu Kα (λ = 1.5418 Å).

Peak list (12 most intense, 15° ≤ 2θ ≤ 90°, in order of rising 2θ)
2θ/deg  I/Imax
19.20  6
25.30  6
30.25  100
35.07  50
50.45  35
59.92  28
60.04  14
62.92  12
82.04  5
82.14  11
84.66  10
84.84  5

Atomic structure:
```
data_AcY8
_cell_length_a 8.0949
_cell_length_b 8.0949
_cell_length_c 8.0949
_cell_angle_alpha 95.71
_cell_angle_beta 95.71
_cell_angle_gamma 143.21
_space_group_name_H-M_alt 'P 1'
_space_group_IT_number 1
loop_
_space_group_symop_operation_xyz
'x,y,z'
loop_
_atom_site_label
_atom_site_fract_x
_atom_site_fract_y
_atom_site_fract_z
Ac1 0.0000 0.0000 0.0000
Y1 0.0000 0.3362 0.3362
Y2 0.0000 0.6638 0.6638
Y3 0.3301 0.3301 0.6602
Y4 0.3301 0.6699 0.0000
Y5 0.3362 0.0000 0.3362
Y6 0.6638 0.0000 0.6638
Y7 0.6699 0.3301 0.0000
Y8 0.6699 0.6699 0.3398
```

---

[5]
The following is a theoretical PXRD pattern of CeSnSb2Au2. It was derived from a DFT-relaxed cell (PBE, Alexandria), using Cu Kα (λ = 1.5418 Å).

Peak list (12 most intense, 15° ≤ 2θ ≤ 90°, in order of rising 2θ)
2θ/deg  I/Imax
30.70  100
31.47  77
32.44  25
33.81  23
35.30  43
35.65  44
36.73  78
37.24  72
40.63  67
57.52  27
63.20  21
66.63  20

Atomic structure:
```
data_CeSnSb2Au2
_cell_length_a 6.5733
_cell_length_b 6.4079
_cell_length_c 7.8342
_cell_angle_alpha 90.00
_cell_angle_beta 110.38
_cell_angle_gamma 90.00
_space_group_name_H-M_alt 'P 1'
_space_group_IT_number 1
loop_
_space_group_symop_operation_xyz
'x,y,z'
loop_
_atom_site_label
_atom_site_fract_x
_atom_site_fract_y
_atom_site_fract_z
Ce1 0.2378 0.2500 0.4487
Ce2 0.7622 0.7500 0.5513
Sn1 0.1829 0.2500 0.8581
Sn2 0.8171 0.7500 0.1419
Sb1 0.1374 0.7500 0.9604
Sb2 0.2542 0.7500 0.5304
Sb3 0.7458 0.2500 0.4696
Sb4 0.8626 0.2500 0.0396
Au1 0.4463 0.0115 0.1867
Au2 0.4463 0.4885 0.1867
Au3 0.5537 0.5115 0.8133
Au4 0.5537 0.9885 0.8133
```

---

[6]
The following is a theoretical PXRD pattern of Tl2CrGeS4. It was derived from a DFT-relaxed cell (PBE, Alexandria), using Cu Kα (λ = 1.5418 Å).

Peak list (12 most intense, 15° ≤ 2θ ≤ 90°, in order of rising 2θ)
2θ/deg  I/Imax
16.18  25
17.33  24
23.73  51
26.84  36
27.72  75
29.42  100
33.28  37
38.80  20
43.10  32
46.55  23
46.86  24
50.11  20

Atomic structure:
```
data_Tl2CrGeS4
_cell_length_a 6.1630
_cell_length_b 6.1630
_cell_length_c 6.7166
_cell_angle_alpha 116.99
_cell_angle_beta 116.99
_cell_angle_gamma 81.27
_space_group_name_H-M_alt 'P 1'
_space_group_IT_number 1
loop_
_space_group_symop_operation_xyz
'x,y,z'
loop_
_atom_site_label
_atom_site_fract_x
_atom_site_fract_y
_atom_site_fract_z
Tl1 0.0000 0.0000 0.0000
Tl2 0.7309 0.2691 0.5000
Cr1 0.5101 0.4899 0.0000
Ge1 0.2213 0.7787 0.5000
S1 0.2589 0.4538 0.6144
S2 0.4604 0.1192 0.9373
S3 0.5462 0.7411 0.3856
S4 0.8808 0.5396 0.0627
```

---

[7]
The following is a theoretical PXRD pattern of Tl7Pb5. It was derived from a DFT-relaxed cell (PBE, Alexandria), using Cu Kα (λ = 1.5418 Å).

Peak list (12 most intense, 15° ≤ 2θ ≤ 90°, in order of rising 2θ)
2θ/deg  I/Imax
30.95  100
31.05  99
35.07  36
36.38  66
51.43  50
60.36  15
60.42  15
62.05  29
62.23  28
64.51  13
83.94  13
84.10  13

Atomic structure:
```
data_Tl7Pb5
_cell_length_a 3.4839
_cell_length_b 10.5010
_cell_length_c 10.2356
_cell_angle_alpha 90.00
_cell_angle_beta 90.00
_cell_angle_gamma 90.00
_space_group_name_H-M_alt 'P 1'
_space_group_IT_number 1
loop_
_space_group_symop_operation_xyz
'x,y,z'
loop_
_atom_site_label
_atom_site_fract_x
_atom_site_fract_y
_atom_site_fract_z
Tl1 0.0000 0.0000 0.0000
Tl2 0.0000 0.0000 0.4992
Tl3 0.0000 0.3333 0.0026
Tl4 0.0000 0.6667 0.0026
Tl5 0.5000 0.1685 0.2521
Tl6 0.5000 0.5000 0.7552
Tl7 0.5000 0.8315 0.2521
Pb1 0.0000 0.3357 0.5039
Pb2 0.0000 0.6643 0.5039
Pb3 0.5000 0.1657 0.7503
Pb4 0.5000 0.5000 0.2576
Pb5 0.5000 0.8343 0.7503
```

---

[8]
The following is a theoretical PXRD pattern of MgSc2Cd3. It was derived from a DFT-relaxed cell (PBE, Alexandria), using Cu Kα (λ = 1.5418 Å).

Peak list (12 most intense, 15° ≤ 2θ ≤ 90°, in order of rising 2θ)
2θ/deg  I/Imax
24.25  17
25.89  29
35.77  100
36.88  23
37.01  23
49.68  9
53.14  8
63.45  9
63.54  8
65.65  8
65.81  15
65.96  8

Atomic structure:
```
data_MgSc2Cd3
_cell_length_a 4.8583
_cell_length_b 7.3404
_cell_length_c 7.6963
_cell_angle_alpha 90.00
_cell_angle_beta 108.19
_cell_angle_gamma 90.00
_space_group_name_H-M_alt 'P 1'
_space_group_IT_number 1
loop_
_space_group_symop_operation_xyz
'x,y,z'
loop_
_atom_site_label
_atom_site_fract_x
_atom_site_fract_y
_atom_site_fract_z
Mg1 0.1644 0.0000 0.3296
Mg2 0.8356 0.0000 0.6704
Sc1 0.1634 0.5000 0.3273
Sc2 0.5000 0.0000 0.0000
Sc3 0.5000 0.5000 0.0000
Sc4 0.8366 0.5000 0.6727
Cd1 0.0000 0.2435 0.0000
Cd2 0.0000 0.7565 0.0000
Cd3 0.3314 0.2437 0.6622
Cd4 0.3314 0.7563 0.6622
Cd5 0.6686 0.2437 0.3378
Cd6 0.6686 0.7563 0.3378
```

---

[9]
The following is a theoretical PXRD pattern of SmPaSe3. It was derived from a DFT-relaxed cell (PBE, Alexandria), using Cu Kα (λ = 1.5418 Å).

Peak list (12 most intense, 15° ≤ 2θ ≤ 90°, in order of rising 2θ)
2θ/deg  I/Imax
25.41  100
32.20  71
33.45  50
33.65  67
35.70  41
35.90  42
37.53  54
41.32  43
42.61  43
44.42  41
44.97  52
48.44  41

Atomic structure:
```
data_SmPaSe3
_cell_length_a 7.9036
_cell_length_b 4.0318
_cell_length_c 16.0858
_cell_angle_alpha 90.00
_cell_angle_beta 90.00
_cell_angle_gamma 90.00
_space_group_name_H-M_alt 'P 1'
_space_group_IT_number 1
loop_
_space_group_symop_operation_xyz
'x,y,z'
loop_
_atom_site_label
_atom_site_fract_x
_atom_site_fract_y
_atom_site_fract_z
Sm1 0.0824 0.2500 0.2084
Sm2 0.4176 0.7500 0.7084
Sm3 0.5824 0.2500 0.2916
Sm4 0.9176 0.7500 0.7916
Pa1 0.2408 0.7500 0.4608
Pa2 0.2592 0.2500 0.9608
Pa3 0.7408 0.7500 0.0392
Pa4 0.7592 0.2500 0.5392
Se1 0.0054 0.2500 0.4002
Se2 0.1164 0.7500 0.0721
Se3 0.1890 0.2500 0.7800
Se4 0.3110 0.7500 0.2800
Se5 0.3836 0.2500 0.5721
Se6 0.4946 0.7500 0.9002
Se7 0.5054 0.2500 0.0998
Se8 0.6164 0.7500 0.4279
Se9 0.6890 0.2500 0.7200
Se10 0.8110 0.7500 0.2200
Se11 0.8836 0.2500 0.9279
Se12 0.9946 0.7500 0.5998
```

---

[10]
The following is a theoretical PXRD pattern of Pr5Te5F2. It was derived from a DFT-relaxed cell (PBE, Alexandria), using Cu Kα (λ = 1.5418 Å).

Peak list (12 most intense, 15° ≤ 2θ ≤ 90°, in order of rising 2θ)
2θ/deg  I/Imax
21.58  14
25.12  12
28.67  100
30.27  15
31.15  29
31.67  19
32.45  40
33.43  74
39.84  16
43.21  28
55.06  18
59.00  12

Atomic structure:
```
data_Pr5Te5F2
_cell_length_a 7.5359
_cell_length_b 7.5359
_cell_length_c 11.3519
_cell_angle_alpha 98.49
_cell_angle_beta 98.49
_cell_angle_gamma 32.26
_space_group_name_H-M_alt 'P 1'
_space_group_IT_number 1
loop_
_space_group_symop_operation_xyz
'x,y,z'
loop_
_atom_site_label
_atom_site_fract_x
_atom_site_fract_y
_atom_site_fract_z
Pr1 0.0000 0.0000 0.0000
Pr2 0.1050 0.1050 0.3477
Pr3 0.3321 0.3321 0.1955
Pr4 0.6679 0.6679 0.8045
Pr5 0.8950 0.8950 0.6523
Te1 0.2225 0.2225 0.6157
Te2 0.3412 0.3412 0.9037
Te3 0.5000 0.5000 0.5000
Te4 0.6588 0.6588 0.0963
Te5 0.7775 0.7775 0.3843
F1 0.0481 0.0481 0.8009
F2 0.9519 0.9519 0.1991
```

---

[11]
The following is a theoretical PXRD pattern of LaAg4Sb. It was derived from a DFT-relaxed cell (PBE, Alexandria), using Cu Kα (λ = 1.5418 Å).

Peak list (12 most intense, 15° ≤ 2θ ≤ 90°, in order of rising 2θ)
2θ/deg  I/Imax
18.93  2
31.15  31
36.70  100
38.39  36
44.63  3
55.42  12
59.11  32
64.95  27
73.79  5
76.99  11
78.05  12
82.24  1

Atomic structure:
```
data_LaAg4Sb
_cell_length_a 5.7428
_cell_length_b 5.7428
_cell_length_c 5.7428
_cell_angle_alpha 60.00
_cell_angle_beta 60.00
_cell_angle_gamma 60.00
_space_group_name_H-M_alt 'P 1'
_space_group_IT_number 1
loop_
_space_group_symop_operation_xyz
'x,y,z'
loop_
_atom_site_label
_atom_site_fract_x
_atom_site_fract_y
_atom_site_fract_z
La1 0.0000 0.0000 0.0000
Ag1 0.3752 0.3752 0.3752
Ag2 0.3752 0.3752 0.8744
Ag3 0.3752 0.8744 0.3752
Ag4 0.8744 0.3752 0.3752
Sb1 0.7500 0.7500 0.7500
```

---

[12]
The following is a theoretical PXRD pattern of BrOF3. It was derived from a DFT-relaxed cell (PBE, Alexandria), using Cu Kα (λ = 1.5418 Å).

Peak list (12 most intense, 15° ≤ 2θ ≤ 90°, in order of rising 2θ)
2θ/deg  I/Imax
17.28  30
21.25  37
22.88  100
31.47  9
34.99  11
38.23  7
40.20  6
43.13  22
46.89  8
49.32  9
49.53  10
56.52  6

Atomic structure:
```
data_BrOF3
_cell_length_a 5.9140
_cell_length_b 5.9140
_cell_length_c 10.3314
_cell_angle_alpha 90.00
_cell_angle_beta 90.00
_cell_angle_gamma 90.00
_space_group_name_H-M_alt 'P 1'
_space_group_IT_number 1
loop_
_space_group_symop_operation_xyz
'x,y,z'
loop_
_atom_site_label
_atom_site_fract_x
_atom_site_fract_y
_atom_site_fract_z
Br1 0.0717 0.6044 0.0000
Br2 0.3956 0.0717 0.2500
Br3 0.6044 0.9283 0.7500
Br4 0.9283 0.3956 0.5000
O1 0.1428 0.4425 0.5888
O2 0.4425 0.8572 0.3388
O3 0.5575 0.1428 0.8388
O4 0.8572 0.5575 0.0888
F1 0.0506 0.3812 0.8810
F2 0.0834 0.1910 0.3757
F3 0.1910 0.9166 0.1257
F4 0.2829 0.4285 0.0910
F5 0.3812 0.9494 0.6310
F6 0.4285 0.7171 0.8410
F7 0.5715 0.2829 0.3410
F8 0.6188 0.0506 0.1310
F9 0.7171 0.5715 0.5910
F10 0.8090 0.0834 0.6257
F11 0.9166 0.8090 0.8757
F12 0.9494 0.6188 0.3810
```